Record 1
Theoretical X-ray powder pattern of CoPPt2O for λ = 1.5418 Å (Cu Kα), from DFT lattice parameters and positions (PBE+U).
Neutral-atom scattering factors, no anomalous dispersion.

Most intense lines, 15 to 90 degrees two-theta, low angle first:
- 26.38 deg, rel. 39, hkl 0 0 1
- 27.11 deg, rel. 48, hkl 1 1 0
- 38.18 deg, rel. 100, hkl 1 1 1
- 38.72 deg, rel. 63, hkl 2 0 0
- 47.46 deg, rel. 33, hkl 2 0 1
- 55.91 deg, rel. 21, hkl 2 2 0
- 68.66 deg, rel. 23, hkl 2 0 2
- 69.73 deg, rel. 34, hkl 3 1 1

Crystal structure
abc: 4.6514 4.6514 3.3791
angles: 90.00 90.00 90.00
Space group P4/mmm (No. 123)
Inequivalent atoms, fractional coordinates:
Co (0.0000, 0.0000, 0.0000) (multiplicity 1)
P (0.5000, 0.5000, 0.5000) (multiplicity 1)
Pt (0.0000, 0.5000, 0.5000) (multiplicity 2)
O (0.5000, 0.5000, 0.0000) (multiplicity 1)

Record 2
Theoretical X-ray powder pattern of RbCo2P2O7 for λ = 1.5418 Å (Cu Kα), from DFT lattice parameters and positions (PBE+U).
Neutral-atom scattering factors, no anomalous dispersion.

Most intense lines, 15 to 90 degrees two-theta, low angle first:
- 22.29 deg, rel. 25, hkl 0 0 6
- 23.72 deg, rel. 100, hkl 1 0 4
- 26.25 deg, rel. 58, hkl 0 1 5
- 32.19 deg, rel. 80, hkl 1 1 0
- 40.38 deg, rel. 22, hkl 0 2 4
- 47.31 deg, rel. 29, hkl 1 1 9
- 52.55 deg, rel. 27, hkl 2 1 4
- 57.40 deg, rel. 20, hkl 3 0 0

Crystal structure
abc: 5.5607 5.5607 23.9291
angles: 90.00 90.00 120.00
Space group R32 (No. 155, hexagonal axes)
Inequivalent atoms, fractional coordinates:
Rb (0.0000, 0.0000, 0.0000) (multiplicity 3)
Co (0.0000, 0.0000, 0.2374) (multiplicity 6)
P (0.0000, 0.0000, 0.4331) (multiplicity 6)
O (0.0000, 0.0000, 0.5000) (multiplicity 3)
O (0.0475, 0.2839, 0.4142) (multiplicity 18)

Record 3
Theoretical X-ray powder pattern of Co3SbP4O16 for λ = 1.5418 Å (Cu Kα), from DFT lattice parameters and positions (PBE+U).
Neutral-atom scattering factors, no anomalous dispersion.

Most intense lines, 15 to 90 degrees two-theta, low angle first:
- 17.99 deg, rel. 100, hkl 0 0 2
- 20.24 deg, rel. 45, hkl 1 0 -1
- 20.54 deg, rel. 43, hkl 1 0 1
- 25.32 deg, rel. 75, hkl 1 1 -1
- 25.55 deg, rel. 94, hkl 1 1 1
- 30.40 deg, rel. 92, hkl 0 2 0
- 36.11 deg, rel. 58, hkl 1 1 -3
- 36.64 deg, rel. 56, hkl 1 1 3

Crystal structure
abc: 4.8567 5.8802 9.8619
angles: 90.00 91.05 90.00
Space group Pm (No. 6)
Inequivalent atoms, fractional coordinates:
Co (0.0000, 0.0000, 0.0000) (multiplicity 1)
Co (0.1558, 0.5000, 0.4443) (multiplicity 1)
Co (0.5115, 0.5000, 0.9571) (multiplicity 1)
Sb (0.6295, 0.0000, 0.5124) (multiplicity 1)
P (0.1911, 0.0000, 0.3179) (multiplicity 1)
P (0.4719, 0.0000, 0.8281) (multiplicity 1)
P (0.6748, 0.5000, 0.6436) (multiplicity 1)
P (0.9621, 0.5000, 0.1330) (multiplicity 1)
O (0.2286, 0.0000, 0.1693) (multiplicity 1)
O (0.2737, 0.5000, 0.1102) (multiplicity 1)
O (0.3309, 0.2091, 0.8935) (multiplicity 2)
O (0.3524, 0.1994, 0.3974) (multiplicity 2)
O (0.3693, 0.5000, 0.6118) (multiplicity 1)
O (0.3831, 0.0000, 0.6681) (multiplicity 1)
O (0.7531, 0.5000, 0.7911) (multiplicity 1)
O (0.7836, 0.0000, 0.8307) (multiplicity 1)
O (0.8090, 0.2956, 0.0610) (multiplicity 2)
O (0.8260, 0.2913, 0.5654) (multiplicity 2)
O (0.8810, 0.0000, 0.3550) (multiplicity 1)
O (0.9145, 0.5000, 0.2870) (multiplicity 1)

Record 4
Theoretical X-ray powder pattern of V3CoSn2P6O24 for λ = 1.5418 Å (Cu Kα), from DFT lattice parameters and positions (PBE+U).
Neutral-atom scattering factors, no anomalous dispersion.

Most intense lines, 15 to 90 degrees two-theta, low angle first:
- 20.85 deg, rel. 99, hkl 1 1 0
- 23.91 deg, rel. 70, hkl 1 1 3
- 25.36 deg, rel. 24, hkl 2 0 2
- 31.44 deg, rel. 100, hkl 2 -1 6
- 33.06 deg, rel. 23, hkl 1 2 2
- 36.54 deg, rel. 35, hkl 3 0 0
- 48.95 deg, rel. 33, hkl 4 -2 6
- 57.23 deg, rel. 26, hkl 4 1 0

Crystal structure
abc: 8.5189 8.5189 22.9485
angles: 90.00 90.00 120.00
Space group R3 (No. 146, hexagonal axes)
Inequivalent atoms, fractional coordinates:
V (0.0000, 0.0000, 0.0000) (multiplicity 3)
V (0.0000, 0.0000, 0.2056) (multiplicity 3)
V (0.0000, 0.0000, 0.5072) (multiplicity 3)
Co (0.0000, 0.0000, 0.6955) (multiplicity 3)
Sn (0.0000, 0.0000, 0.3650) (multiplicity 3)
Sn (0.0000, 0.0000, 0.8331) (multiplicity 3)
P (0.0052, 0.7199, 0.1032) (multiplicity 9)
P (0.0437, 0.3739, 0.2708) (multiplicity 9)
O (0.0031, 0.8133, 0.1599) (multiplicity 9)
O (0.0297, 0.2052, 0.5470) (multiplicity 9)
O (0.0470, 0.8368, 0.0480) (multiplicity 9)
O (0.0535, 0.8454, 0.7642) (multiplicity 9)
O (0.1583, 0.4765, 0.9227) (multiplicity 9)
O (0.1637, 0.6771, 0.1094) (multiplicity 9)
O (0.1750, 0.4325, 0.3214) (multiplicity 9)
O (0.1806, 0.4633, 0.6160) (multiplicity 9)